Record 1
Simulated powder diffractogram
Compound: K2ZnFeH6
Radiation: Cu Ka
Structure: a structure optimized by DFT (PBE)
Lines closer than 0.1° are merged.

Most intense lines, 2θ from 10° to 80°, in order of rising 2θ:
24.9°, intensity 9, (0 2 0); 28.8°, intensity 25, (0 0 2); 32.4°, intensity 26, (2 0 0); 33.1°, intensity 100, (1 2 1); 43.9°, intensity 15, (2 0 2); 50.9°, intensity 7, (0 4 0); 51.0°, intensity 8, (0 2 3); 58.3°, intensity 17, (3 2 1); 61.6°, intensity 7, (2 4 0); 61.8°, intensity 8, (2 2 3)

Crystal structure
```
data_K2ZnFeH6
_cell_length_a 5.5246
_cell_length_b 7.1765
_cell_length_c 6.1912
_cell_angle_alpha 90.00
_cell_angle_beta 90.00
_cell_angle_gamma 90.00
_symmetry_space_group_name_H-M 'P m m n'
_symmetry_Int_Tables_number 59
loop_
_symmetry_equiv_pos_as_xyz
'x,y,z'
'-x,-y,-z'
'-x+1/2,-y+1/2,z'
'x+1/2,y+1/2,-z'
'x+1/2,-y,-z'
'-x+1/2,y,z'
'-x,y+1/2,-z'
'x,-y+1/2,z'
loop_
_atom_site_label
_atom_site_type_symbol
_atom_site_fract_x
_atom_site_fract_y
_atom_site_fract_z
K1 K 0.2500 0.0108 0.1999
Zn1 Zn 0.2500 0.7500 0.6319
Fe1 Fe 0.2500 0.2500 0.7103
H1 H 0.0213 0.2500 0.5220
H2 H 0.0627 0.2500 0.9052
H3 H 0.2500 0.5298 0.7297
```


Record 2
Simulated powder diffractogram
Compound: Ho4CdTe2
Radiation: Cu Ka
Structure: a structure optimized by DFT (PBE)
Lines closer than 0.1° are merged.

Most intense lines, 2θ from 10° to 80°, in order of rising 2θ:
26.4°, intensity 88, (0 4 0); 29.6°, intensity 44, (1 3 3); 30.1°, intensity 100, (3 1 1); 35.2°, intensity 29, (1 1 5); 35.3°, intensity 41, (1 5 1); 35.6°, intensity 26, (3 3 1); 37.7°, intensity 48, (0 4 4); 40.5°, intensity 30, (3 3 3); 44.8°, intensity 31, (2 6 0); 49.2°, intensity 27, (4 2 4)

Crystal structure
```
data_Ho4CdTe2
_cell_length_a 9.3747
_cell_length_b 13.4754
_cell_length_c 13.5241
_cell_angle_alpha 90.00
_cell_angle_beta 90.00
_cell_angle_gamma 90.00
_symmetry_space_group_name_H-M 'F d d d'
_symmetry_Int_Tables_number 70
loop_
_symmetry_equiv_pos_as_xyz
'x,y,z'
'-x,-y,-z'
'-x+1/4,-y+1/4,z'
'x+1/4,y+1/4,-z'
'x,-y+1/4,-z+1/4'
'-x,y+1/4,z+1/4'
'-x+1/4,y,-z+1/4'
'x+1/4,-y,z+1/4'
'x,y+1/2,z+1/2'
'-x,-y+1/2,-z+1/2'
'-x+1/4,-y+3/4,z+1/2'
'x+1/4,y+3/4,-z+1/2'
'x,-y+3/4,-z+3/4'
'-x,y+3/4,z+3/4'
'-x+1/4,y+1/2,-z+3/4'
'x+1/4,-y+1/2,z+3/4'
'x+1/2,y,z+1/2'
'-x+1/2,-y,-z+1/2'
'-x+3/4,-y+1/4,z+1/2'
'x+3/4,y+1/4,-z+1/2'
'x+1/2,-y+1/4,-z+3/4'
'-x+1/2,y+1/4,z+3/4'
'-x+3/4,y,-z+3/4'
'x+3/4,-y,z+3/4'
'x+1/2,y+1/2,z'
'-x+1/2,-y+1/2,-z'
'-x+3/4,-y+3/4,z'
'x+3/4,y+3/4,-z'
'x+1/2,-y+3/4,-z+1/4'
'-x+1/2,y+3/4,z+1/4'
'-x+3/4,y+1/2,-z+1/4'
'x+3/4,-y+1/2,z+1/4'
loop_
_atom_site_label
_atom_site_type_symbol
_atom_site_fract_x
_atom_site_fract_y
_atom_site_fract_z
Ho1 Ho 0.0696 0.2787 0.4707
Cd1 Cd 0.1250 0.1250 0.6250
Te1 Te 0.0000 0.0000 0.0000
```